No. 1
BaSc2Ti2O7: simulated X-ray diffraction stick pattern (λ = 1.5418 Å (Cu Kα)), based on a cell relaxed with GGA-PBE.

Structural model:
Cell lengths 4.2080, 4.2080, 17.0772 Å; angles 90.00, 90.00, 90.00 degrees
Space group I4/mmm (No. 139)
Symmetry-distinct sites (fractional):
Ba 0.0000 0.0000 0.0000 (multiplicity 2)
Sc 0.0000 0.0000 0.3826 (multiplicity 4)
Ti 0.0000 0.5000 0.2500 (multiplicity 4)
O 0.0000 0.0000 0.2545 (multiplicity 4)
O 0.0000 0.0000 0.5000 (multiplicity 2)
O 0.0000 0.5000 0.1325 (multiplicity 8)

Main lines, by angle (10° ≤ 2θ ≤ 90°):
2θ (°)  d/Å  I_rel  hkl
26.34  3.384  95  1 0 3
31.85  2.810  100  1 1 2
33.80  2.652  58  1 0 5
42.34  2.135  38  0 0 8
42.99  2.104  76  2 0 0
44.03  2.057  22  1 1 6
51.12  1.787  30  2 1 3
55.77  1.648  27  2 1 5
61.92  1.498  42  2 0 8
62.42  1.488  22  2 2 0

---

No. 2
Ba3ScTl2O8: simulated X-ray diffraction stick pattern (λ = 1.5418 Å (Cu Kα)), based on a cell relaxed with GGA-PBE.

Structural model:
Cell lengths 6.0466, 6.0466, 7.9809 Å; angles 90.00, 90.00, 120.00 degrees
Space group P-3m1 (No. 164)
Symmetry-distinct sites (fractional):
Ba 0.0000 0.0000 0.0000 (multiplicity 1)
Ba 0.3333 0.6667 0.6257 (multiplicity 2)
Sc 0.0000 0.0000 0.5000 (multiplicity 1)
Tl 0.3333 0.6667 0.1894 (multiplicity 2)
O 0.1586 0.3172 0.3384 (multiplicity 6)
O 0.3333 0.6667 0.9338 (multiplicity 2)

Main lines, by angle (10° ≤ 2θ ≤ 90°):
2θ (°)  d/Å  I_rel  hkl
20.28  4.378  24  0 1 1
28.11  3.174  86  0 1 2
29.55  3.023  100  1 1 0
37.94  2.372  21  1 0 3
41.24  2.189  44  2 0 2
48.83  1.865  24  1 0 4
51.54  1.773  33  1 2 2
52.42  1.745  20  3 0 0
58.11  1.587  24  0 2 4
61.33  1.512  16  2 2 0

---

No. 3
Ba3ScU2O9: simulated X-ray diffraction stick pattern (λ = 1.5418 Å (Cu Kα)), based on a cell relaxed with GGA-PBE.

Structural model:
Cell lengths 6.1364, 6.1364, 7.5515 Å; angles 90.00, 90.00, 120.00 degrees
Space group P-3m1 (No. 164)
Symmetry-distinct sites (fractional):
Ba 0.0000 0.0000 0.0000 (multiplicity 1)
Ba 0.3333 0.6667 0.6570 (multiplicity 2)
Sc 0.0000 0.0000 0.5000 (multiplicity 1)
U 0.3333 0.6667 0.1757 (multiplicity 2)
O 0.0000 0.5000 0.0000 (multiplicity 3)
O 0.1648 0.3296 0.3371 (multiplicity 6)

Main lines, by angle (10° ≤ 2θ ≤ 90°):
2θ (°)  d/Å  I_rel  hkl
20.44  4.346  11  0 1 1
29.06  3.073  100  1 1 0
41.56  2.173  29  2 0 2
51.36  1.779  11  1 0 4
51.56  1.773  31  3 0 0
60.12  1.539  9  0 2 4
60.33  1.534  9  2 2 0
68.17  1.376  9  2 1 4
68.32  1.373  9  3 1 2
83.31  1.160  11  4 1 0

---

No. 4
Ba3Se2O8: simulated X-ray diffraction stick pattern (λ = 1.5418 Å (Cu Kα)), based on a cell relaxed with GGA-PBE.

Structural model:
Cell lengths 6.1249, 6.1249, 20.2085 Å; angles 90.00, 90.00, 120.00 degrees
Space group R-3m (No. 166, hexagonal axes)
Symmetry-distinct sites (fractional):
Ba 0.0000 0.0000 0.0000 (multiplicity 3)
Ba 0.0000 0.0000 0.2145 (multiplicity 6)
Se 0.0000 0.0000 0.4299 (multiplicity 6)
O 0.0000 0.0000 0.3446 (multiplicity 6)
O 0.0044 0.5022 0.7707 (multiplicity 18)

Main lines, by angle (10° ≤ 2θ ≤ 90°):
2θ (°)  d/Å  I_rel  hkl
24.33  3.658  22  1 0 4
27.75  3.215  69  0 1 5
29.16  3.062  100  1 1 0
38.33  2.348  17  0 2 4
40.16  2.245  16  0 0 9
40.69  2.217  35  2 0 5
50.39  1.811  31  1 1 9
50.84  1.796  27  1 2 5
51.70  1.768  20  3 0 0
60.46  1.531  18  2 2 0